Entry 1:
K3ErMgV2O8: theoretical X-ray powder pattern (Cu Kα (weighted mean of Kα1 and Kα2)), based on a DFT-relaxed cell (GGA+U, the Materials Project).
No peak broadening, texture or thermal motion is included.

Structure:
```
data_K3ErMgV2O8
_cell_length_a 10.812
_cell_length_b 6.136
_cell_length_c 8.092
_cell_angle_alpha 90.00
_cell_angle_beta 93.79
_cell_angle_gamma 90.00
_symmetry_space_group_name_H-M 'C 1 2/m 1'
_symmetry_Int_Tables_number 12
loop_
_symmetry_equiv_pos_as_xyz
'x,y,z'
'-x,-y,-z'
'-x,y,-z'
'x,-y,z'
'x+1/2,y+1/2,z'
'-x+1/2,-y+1/2,-z'
'-x+1/2,y+1/2,-z'
'x+1/2,-y+1/2,z'
loop_
_atom_site_label
_atom_site_fract_x
_atom_site_fract_y
_atom_site_fract_z
K1 0.000 0.000 0.000
K2 0.207 0.500 0.268
Er1 0.000 0.000 0.500
Mg1 0.000 0.500 0.500
V1 0.194 0.500 0.752
O1 0.096 0.279 0.634
O2 0.149 0.000 0.308
O3 0.171 0.500 0.958
```

The 10 most intense peaks (2θ = 10–90°), in order of rising 2θ:
(0 0 1), 10.96 deg, intensity 100
(1 1 0), 16.62 deg, intensity 31
(2 0 -1), 19.17 deg, intensity 43
(1 1 1), 20.25 deg, intensity 43
(2 0 -2), 26.69 deg, intensity 58
(1 1 -2), 27.27 deg, intensity 35
(2 0 2), 28.48 deg, intensity 40
(3 1 0), 28.78 deg, intensity 71
(0 2 0), 29.10 deg, intensity 55
(2 2 2), 41.17 deg, intensity 52



Entry 2:
Li3Fe3O8: theoretical X-ray powder pattern (Cu Kα (weighted mean of Kα1 and Kα2)), based on a DFT-relaxed cell (GGA+U, the Materials Project).
No peak broadening, texture or thermal motion is included.

Structure:
```
data_Li3Fe3O8
_cell_length_a 5.840
_cell_length_b 5.894
_cell_length_c 10.173
_cell_angle_alpha 74.15
_cell_angle_beta 73.34
_cell_angle_gamma 60.33
_symmetry_space_group_name_H-M 'P -1'
_symmetry_Int_Tables_number 2
loop_
_symmetry_equiv_pos_as_xyz
'x,y,z'
'-x,-y,-z'
loop_
_atom_site_label
_atom_site_fract_x
_atom_site_fract_y
_atom_site_fract_z
Li1 0.061 0.049 0.329
Li2 0.252 0.252 0.750
Li3 0.438 0.451 0.171
Fe1 0.000 0.000 0.000
Fe2 0.000 0.500 0.000
Fe3 0.000 0.500 0.500
Fe4 0.500 0.000 0.000
Fe5 0.500 0.000 0.500
Fe6 0.500 0.500 0.500
O1 0.100 0.648 0.102
O2 0.147 0.153 0.601
O3 0.149 0.601 0.606
O4 0.157 0.112 0.116
O5 0.354 0.900 0.893
O6 0.358 0.345 0.897
O7 0.387 0.384 0.383
O8 0.401 0.846 0.397
```

The 10 most intense peaks (2θ = 10–90°), in order of rising 2θ:
(0 0 2), 18.45 deg, intensity 100
(1 1 2), 21.50 deg, intensity 8
(1 1 -2), 30.28 deg, intensity 7
(0 2 0), 35.49 deg, intensity 15
(2 2 2), 35.99 deg, intensity 28
(0 2 -2), 42.95 deg, intensity 16
(2 2 4), 43.80 deg, intensity 30
(2 2 6), 57.89 deg, intensity 11
(2 0 6), 62.95 deg, intensity 9
(2 4 2), 63.09 deg, intensity 10



Entry 3:
Ba2TmMoO6: theoretical X-ray powder pattern (Cu Kα (weighted mean of Kα1 and Kα2)), based on a DFT-relaxed cell (GGA+U, the Materials Project).
No peak broadening, texture or thermal motion is included.

Structure:
```
data_Ba2TmMoO6
_cell_length_a 8.448
_cell_length_b 8.448
_cell_length_c 8.448
_cell_angle_alpha 90.00
_cell_angle_beta 90.00
_cell_angle_gamma 90.00
_symmetry_space_group_name_H-M 'F m -3 m'
_symmetry_Int_Tables_number 225
_symmetry_space_group_name_Hall '-F 4 2 3'
loop_
_atom_site_label
_atom_site_fract_x
_atom_site_fract_y
_atom_site_fract_z
Ba1 0.250 0.250 0.250
Tm1 0.000 0.000 0.000
Mo1 0.000 0.000 0.500
O1 0.000 0.000 0.262
```

The 10 most intense peaks (2θ = 10–90°), in order of rising 2θ:
(1 1 1), 18.19 deg, intensity 3
(2 2 0), 29.92 deg, intensity 100
(3 1 1), 35.23 deg, intensity 3
(4 0 0), 42.82 deg, intensity 29
(3 3 1), 46.88 deg, intensity 2
(4 2 2), 53.11 deg, intensity 40
(4 4 0), 62.16 deg, intensity 18
(6 2 0), 70.50 deg, intensity 18
(4 4 4), 78.43 deg, intensity 6
(6 4 2), 86.14 deg, intensity 22



Entry 4:
Li2VOF3: theoretical X-ray powder pattern (Cu Kα (weighted mean of Kα1 and Kα2)), based on a DFT-relaxed cell (GGA+U, the Materials Project).
No peak broadening, texture or thermal motion is included.

Structure:
```
data_Li2VOF3
_cell_length_a 5.066
_cell_length_b 5.485
_cell_length_c 6.033
_cell_angle_alpha 116.60
_cell_angle_beta 90.04
_cell_angle_gamma 90.04
_symmetry_space_group_name_H-M 'P 1'
_symmetry_Int_Tables_number 1
loop_
_symmetry_equiv_pos_as_xyz
'x,y,z'
loop_
_atom_site_label
_atom_site_fract_x
_atom_site_fract_y
_atom_site_fract_z
Li1 0.000 0.000 0.000
Li2 0.001 0.437 0.718
Li3 0.463 0.494 0.996
Li4 0.465 0.931 0.721
V1 0.008 0.850 0.419
V2 0.458 0.349 0.419
O1 0.191 0.630 0.538
O2 0.275 0.133 0.542
F1 0.131 0.679 0.053
F2 0.335 0.176 0.053
F3 0.643 0.569 0.757
F4 0.676 0.596 0.296
F5 0.790 0.098 0.299
F6 0.822 0.066 0.757
```

The 10 most intense peaks (2θ = 10–90°), in order of rising 2θ:
(0 0 1), 16.43 deg, intensity 57
(1 1 0), 25.31 deg, intensity 100
(0 2 -1), 32.65 deg, intensity 15
(1 0 2), 37.79 deg, intensity 25
(2 1 0), 40.07 deg, intensity 18
(1 2 -2), 41.10 deg, intensity 16
(1 1 2), 48.67 deg, intensity 16
(2 -2 1), 48.93 deg, intensity 15
(2 2 0), 51.90 deg, intensity 16
(3 -1 2), 63.20 deg, intensity 14



Entry 5:
BaPrFeSnO6: theoretical X-ray powder pattern (Cu Kα (weighted mean of Kα1 and Kα2)), based on a DFT-relaxed cell (GGA+U, the Materials Project).
No peak broadening, texture or thermal motion is included.

Structure:
```
data_BaPrFeSnO6
_cell_length_a 8.143
_cell_length_b 8.143
_cell_length_c 8.143
_cell_angle_alpha 90.00
_cell_angle_beta 90.00
_cell_angle_gamma 90.00
_symmetry_space_group_name_H-M 'F -4 3 m'
_symmetry_Int_Tables_number 216
_symmetry_space_group_name_Hall 'F -4 2 3'
loop_
_atom_site_label
_atom_site_fract_x
_atom_site_fract_y
_atom_site_fract_z
Ba1 0.000 0.000 0.000
Pr1 0.000 0.000 0.500
Fe1 0.250 0.250 0.250
Sn1 0.250 0.250 0.750
O1 0.003 0.250 0.250
```

The 10 most intense peaks (2θ = 10–90°), in order of rising 2θ:
(1 1 1), 18.88 deg, intensity 4
(2 0 0), 21.83 deg, intensity 2
(2 2 0), 31.06 deg, intensity 100
(3 1 1), 36.60 deg, intensity 3
(2 2 2), 38.29 deg, intensity 8
(4 0 0), 44.51 deg, intensity 31
(4 2 2), 55.27 deg, intensity 40
(4 4 0), 64.76 deg, intensity 19
(6 2 0), 73.56 deg, intensity 18
(4 4 4), 81.98 deg, intensity 6



Entry 6:
K2Cr2O5: theoretical X-ray powder pattern (Cu Kα (weighted mean of Kα1 and Kα2)), based on a DFT-relaxed cell (GGA+U, the Materials Project).
No peak broadening, texture or thermal motion is included.

Structure:
```
data_K2Cr2O5
_cell_length_a 14.175
_cell_length_b 6.265
_cell_length_c 5.914
_cell_angle_alpha 90.00
_cell_angle_beta 90.00
_cell_angle_gamma 90.00
_symmetry_space_group_name_H-M 'I m a 2'
_symmetry_Int_Tables_number 46
loop_
_symmetry_equiv_pos_as_xyz
'x,y,z'
'-x,-y,z'
'-x+1/2,y,z'
'x+1/2,-y,z'
'x+1/2,y+1/2,z+1/2'
'-x+1/2,-y+1/2,z+1/2'
'-x,y+1/2,z+1/2'
'x,-y+1/2,z+1/2'
loop_
_atom_site_label
_atom_site_fract_x
_atom_site_fract_y
_atom_site_fract_z
K1 0.118 0.032 0.000
Cr1 0.000 0.000 0.529
Cr2 0.250 0.590 0.991
O1 0.013 0.723 0.210
O2 0.141 0.048 0.472
O3 0.250 0.696 0.285
```

The 10 most intense peaks (2θ = 10–90°), in order of rising 2θ:
(0 1 1), 20.65 deg, intensity 19
(3 1 0), 23.58 deg, intensity 15
(0 2 0), 28.50 deg, intensity 28
(0 0 2), 30.22 deg, intensity 39
(4 1 1), 32.75 deg, intensity 100
(1 2 1), 32.97 deg, intensity 12
(0 2 2), 42.02 deg, intensity 44
(8 0 0), 51.58 deg, intensity 15
(4 1 3), 55.30 deg, intensity 18
(8 2 2), 68.63 deg, intensity 14



Entry 7:
LiFeOF2: theoretical X-ray powder pattern (Cu Kα (weighted mean of Kα1 and Kα2)), based on a DFT-relaxed cell (GGA+U, the Materials Project).
No peak broadening, texture or thermal motion is included.

Structure:
```
data_LiFeOF2
_cell_length_a 8.814
_cell_length_b 5.293
_cell_length_c 12.611
_cell_angle_alpha 90.00
_cell_angle_beta 130.97
_cell_angle_gamma 90.00
_symmetry_space_group_name_H-M 'P 1 c 1'
_symmetry_Int_Tables_number 7
loop_
_symmetry_equiv_pos_as_xyz
'x,y,z'
'x,-y,z+1/2'
loop_
_atom_site_label
_atom_site_fract_x
_atom_site_fract_y
_atom_site_fract_z
Li1 0.000 0.070 0.000
Li2 0.191 0.425 0.503
Li3 0.675 0.411 0.692
Li4 0.873 0.097 0.210
Fe1 0.043 0.391 0.696
Fe2 0.384 0.043 0.416
Fe3 0.503 0.073 0.188
Fe4 0.594 0.384 0.930
O1 0.119 0.090 0.791
O2 0.412 0.208 0.563
O3 0.489 0.078 0.825
O4 0.564 0.234 0.058
F1 0.054 0.276 0.555
F2 0.239 0.242 0.073
F3 0.318 0.420 0.320
F4 0.618 0.417 0.303
F5 0.734 0.302 0.562
F6 0.788 0.068 0.802
F7 0.893 0.286 0.063
F8 0.976 0.429 0.299
```

The 10 most intense peaks (2θ = 10–90°), in order of rising 2θ:
(1 0 0), 13.30 deg, intensity 87
(1 0 -2), 14.09 deg, intensity 95
(1 1 0), 21.45 deg, intensity 100
(1 1 -2), 21.95 deg, intensity 90
(2 0 0), 26.77 deg, intensity 88
(1 1 -3), 27.57 deg, intensity 54
(2 0 -4), 28.39 deg, intensity 64
(4 0 -2), 44.31 deg, intensity 54
(0 2 3), 44.58 deg, intensity 46
(3 3 -3), 61.32 deg, intensity 59